Structure and simulated X-ray powder pattern of ScTi2NbN (a crystal structure in Alexandria, relaxed with GGA-PBE; a wavelength of 1.5418 Å).

Crystal structure
abc: 4.174 4.174 4.459
angles: 90.00 90.00 90.00
Space group P4/mmm (No. 123)
Inequivalent atoms, fractional coordinates:
Sc: 0.000 0.000 0.000 x1
Ti: 0.000 0.500 0.500 x2
Nb: 0.500 0.500 0.000 x1
N: 0.000 0.000 0.500 x1

Largest 6 diffraction maxima, low angle first, 2θ = 10–80°:
| two_theta | d [Å] | I (rel.) | hkl |
| --- | --- | --- | --- |
| 29.3 | 3.047 | 15.6 | 1 0 1 |
| 36.5 | 2.461 | 100.0 | 1 1 1 |
| 40.5 | 2.230 | 23.1 | 0 0 2 |
| 43.4 | 2.087 | 37.3 | 2 0 0 |
| 60.8 | 1.524 | 25.1 | 2 0 2 |
| 75.1 | 1.266 | 21.7 | 3 1 1 |